Diffraction record for H8AuC2S2N4Cl. The powder diffraction line list is theoretical, not measured: it uses a crystal structure in OQMD, relaxed with PBE and Cu Kα, 1.54184 Å.
Kinematic intensities with the Lorentz-polarization factor, no thermal factor.

Structural model:
abc: 8.8497 8.8497 6.9761
angles: 95.88 95.88 124.30
Fractional positions:
1 H 0.0017 0.5412 0.2438
2 H 0.0201 0.1737 0.0443
3 H 0.1114 0.6665 0.9315
4 H 0.1737 0.0201 0.5443
5 H 0.1872 0.2108 0.2418
6 H 0.2108 0.1872 0.7418
7 H 0.3335 0.8886 0.5685
8 H 0.4588 0.9983 0.2562
9 H 0.5412 0.0017 0.7438
10 H 0.6665 0.1114 0.4315
11 H 0.7892 0.8128 0.2582
12 H 0.8128 0.7892 0.7582
13 H 0.8263 0.9799 0.4557
14 H 0.8886 0.3335 0.0685
15 H 0.9799 0.8263 0.9557
16 H 0.9983 0.4588 0.7562
17 Au 0.5000 0.5000 0.0000
18 Au 0.5000 0.5000 0.5000
19 C 0.1075 0.3880 0.2701
20 C 0.3880 0.1075 0.7701
21 C 0.6120 0.8925 0.2299
22 C 0.8925 0.6120 0.7299
23 S 0.2593 0.5336 0.4864
24 S 0.4664 0.7407 0.0136
25 S 0.5336 0.2593 0.9864
26 S 0.7407 0.4664 0.5136
27 N 0.0134 0.5800 0.8078
28 N 0.1018 0.2435 0.1822
29 N 0.2435 0.1018 0.6822
30 N 0.4200 0.9866 0.6922
31 N 0.5800 0.0134 0.3078
32 N 0.7565 0.8982 0.3178
33 N 0.8982 0.7565 0.8178
34 N 0.9866 0.4200 0.1922
35 Cl 0.1301 0.8699 0.2500
36 Cl 0.8699 0.1301 0.7500

Top 10 peaks for 10° ≤ 2θ ≤ 90°, low angle first:
| 2θ (°) | I (rel.) |
| --- | --- |
| 11.31 | 47 |
| 12.34 | 100 |
| 20.27 | 31 |
| 24.83 | 26 |
| 25.73 | 14 |
| 26.72 | 32 |
| 28.60 | 17 |
| 30.43 | 14 |
| 31.22 | 31 |
| 38.29 | 16 |

***

Diffraction record for H6AuC3S2NCl. The powder diffraction line list is theoretical, not measured: it uses a crystal structure in OQMD, relaxed with PBE and Cu Kα, 1.54184 Å.
Kinematic intensities with the Lorentz-polarization factor, no thermal factor.

Structural model:
abc: 9.8955 9.8955 15.3497
angles: 118.35 118.35 35.54
Fractional positions:
1 H 0.0783 0.6171 0.6539
2 H 0.1002 0.4989 0.8603
3 H 0.1011 0.4262 0.1000
4 H 0.1411 0.3565 0.4331
5 H 0.1481 0.1622 0.9177
6 H 0.1622 0.1481 0.4177
7 H 0.1619 0.4010 0.2243
8 H 0.3565 0.1411 0.9331
9 H 0.3829 0.9217 0.8461
10 H 0.4010 0.1619 0.7243
11 H 0.4262 0.1011 0.6000
12 H 0.4989 0.1002 0.3603
13 H 0.5011 0.8998 0.6397
14 H 0.5738 0.8989 0.4000
15 H 0.5990 0.8381 0.2757
16 H 0.6171 0.0783 0.1539
17 H 0.6435 0.8589 0.0669
18 H 0.8381 0.5990 0.7757
19 H 0.8378 0.8519 0.5823
20 H 0.8519 0.8378 0.0823
21 H 0.8589 0.6435 0.5669
22 H 0.8989 0.5738 0.9000
23 H 0.8998 0.5011 0.1397
24 H 0.9217 0.3829 0.3461
25 Au 0.0000 0.0000 0.0000
26 Au 0.0000 0.0000 0.5000
27 Au 0.4154 0.5846 0.2500
28 Au 0.5846 0.4154 0.7500
29 C 0.0213 0.5042 0.1638
30 C 0.0751 0.1728 0.7055
31 C 0.1099 0.2583 0.3791
32 C 0.1728 0.0751 0.2055
33 C 0.2583 0.1099 0.8791
34 C 0.4958 0.9787 0.3362
35 C 0.5042 0.0213 0.6638
36 C 0.7417 0.8901 0.1209
37 C 0.8272 0.9249 0.7945
38 C 0.8901 0.7417 0.6209
39 C 0.9249 0.8272 0.2945
40 C 0.9787 0.4958 0.8362
41 S 0.1038 0.6671 0.3902
42 S 0.1079 0.7881 0.8384
43 S 0.2119 0.8921 0.6616
44 S 0.3329 0.8962 0.1098
45 S 0.6671 0.1038 0.8902
46 S 0.7881 0.1079 0.3384
47 S 0.8921 0.2119 0.1616
48 S 0.8962 0.3329 0.6098
49 N 0.1062 0.2537 0.8015
50 N 0.2537 0.1062 0.3015
51 N 0.7463 0.8938 0.6985
52 N 0.8938 0.7463 0.1985
53 Cl 0.3209 0.4928 0.0803
54 Cl 0.4928 0.3209 0.5803
55 Cl 0.5072 0.6791 0.4197
56 Cl 0.6791 0.5072 0.9197

Top 10 peaks for 10° ≤ 2θ ≤ 90°, low angle first:
| 2θ (°) | I (rel.) |
| --- | --- |
| 10.83 | 100 |
| 18.74 | 38 |
| 21.06 | 73 |
| 21.76 | 11 |
| 22.30 | 19 |
| 23.30 | 11 |
| 27.90 | 29 |
| 28.66 | 12 |
| 30.34 | 18 |
| 37.01 | 12 |